CsV3F9: calculated powder XRD pattern (copper Kα), based on the PBE+U geometry in Alexandria.

Most intense lines, 5° ≤ 2θ ≤ 70°, sorted by position:
hkl 1 0 1, d = 3.424 Å, rel. 73
hkl 2 0 0, d = 3.338 Å, rel. 100
hkl 1 1 1, d = 2.772 Å, rel. 47
hkl 2 1 0, d = 2.523 Å, rel. 17
hkl 0 0 2, d = 1.994 Å, rel. 18
hkl 3 0 1, d = 1.943 Å, rel. 22
hkl 2 2 0, d = 1.927 Å, rel. 35
hkl 2 0 2, d = 1.712 Å, rel. 26
hkl 3 1 1, d = 1.680 Å, rel. 21
hkl 4 0 0, d = 1.669 Å, rel. 16
hkl 3 2 1, d = 1.430 Å, rel. 15
hkl 2 2 2, d = 1.386 Å, rel. 21

Cell lengths 7.709, 7.709, 3.989 Å; angles 90.00, 90.00, 120.00 degrees
Element x y z (fractional)
Cs 0.000 0.000 0.000
V 0.000 0.500 0.500
V 0.500 0.000 0.500
V 0.500 0.500 0.500
F 0.000 0.500 0.000
F 0.204 0.407 0.500
F 0.204 0.796 0.500
F 0.407 0.204 0.500
F 0.500 0.000 0.000
F 0.500 0.500 0.000
F 0.593 0.796 0.500
F 0.796 0.204 0.500
F 0.796 0.593 0.500